No. 1
Structure and computed XRD peak list of Ca10Bi3Sb3 (the PBE geometry in Alexandria; Cu Kα, 1.54184 Å).
No peak broadening, texture or thermal motion is included.

Crystal structure
```
Ca10Bi3Sb3
1.0
9.1704 0.0000 0.0000
-4.5852 7.9418 0.0000
0.0000 0.0000 7.0482
Ca Bi Sb
10 3 3
direct
0.0000 0.2509 0.0000
0.0000 0.7499 0.5000
0.2501 0.2501 0.5000
0.2509 0.0000 0.0000
0.3333 0.6667 0.2467
0.3333 0.6667 0.7533
0.6667 0.3333 0.2467
0.6667 0.3333 0.7533
0.7491 0.7491 0.0000
0.7499 0.0000 0.5000
0.0000 0.3903 0.5000
0.3903 0.0000 0.5000
0.6097 0.6097 0.5000
0.0000 0.6107 0.0000
0.3893 0.3893 0.0000
0.6107 0.0000 0.0000
```

Most intense lines, 2θ from 10° to 90°, most intense first:
| d_spacing | 2theta | I_rel |
| --- | --- | --- |
| 3.843 | 23.1 | 100 |
| 2.762 | 32.4 | 85 |
| 2.794 | 32.0 | 71 |
| 2.102 | 43.0 | 47 |
| 2.647 | 33.9 | 47 |
| 3.524 | 25.3 | 47 |
| 4.585 | 19.4 | 37 |
| 1.467 | 63.4 | 36 |

---

No. 2
Structure and computed XRD peak list of Sm7Y3Th2 (the PBE geometry in Alexandria; Cu Kα, 1.54184 Å).
No peak broadening, texture or thermal motion is included.

Crystal structure
```
Sm7Y3Th2
1.0
3.6176 0.0000 0.0000
-0.0002 6.2664 0.0000
-1.8037 -1.0382 17.6027
Sm Y Th
7 3 2
direct
0.0000 0.0000 0.0000
0.0854 0.6991 0.1675
0.2496 0.7575 0.4994
0.4147 0.8068 0.8315
0.5853 0.1932 0.1685
0.7504 0.2425 0.5006
0.9146 0.3009 0.8325
0.1681 0.3943 0.3341
0.5000 0.5000 0.0000
0.8319 0.6057 0.6659
0.3320 0.1120 0.6665
0.6680 0.8880 0.3335
```

Most intense lines, 2θ from 10° to 90°, most intense first:
| d_spacing | 2theta | I_rel |
| --- | --- | --- |
| 2.830 | 31.6 | 100 |
| 2.934 | 30.5 | 96 |
| 3.004 | 29.7 | 96 |
| 2.695 | 33.2 | 92 |
| 1.540 | 60.1 | 83 |
| 1.809 | 50.5 | 70 |
| 2.481 | 36.2 | 55 |
| 2.893 | 30.9 | 49 |

---

No. 3
Structure and computed XRD peak list of HfB4H16 (the PBE geometry in Alexandria; Cu Kα, 1.54184 Å).
No peak broadening, texture or thermal motion is included.

Crystal structure
```
HfB4H16
1.0
5.8648 0.0000 0.0000
0.0000 5.8648 0.0000
0.0000 0.0000 5.8648
Hf B H
1 4 16
direct
0.0000 0.0000 0.0000
0.2249 0.2249 0.2249
0.2249 0.7751 0.7751
0.7751 0.2249 0.7751
0.7751 0.7751 0.2249
0.0164 0.2559 0.2559
0.0164 0.7441 0.7441
0.2559 0.0164 0.2559
0.2559 0.2559 0.0164
0.2559 0.7441 0.9836
0.2559 0.9836 0.7441
0.3422 0.3422 0.3422
0.3422 0.6578 0.6578
0.6578 0.3422 0.6578
0.6578 0.6578 0.3422
0.7441 0.0164 0.7441
0.7441 0.2559 0.9836
0.7441 0.7441 0.0164
0.7441 0.9836 0.2559
0.9836 0.2559 0.7441
0.9836 0.7441 0.2559
```

Most intense lines, 2θ from 10° to 90°, most intense first:
| d_spacing | 2theta | I_rel |
| --- | --- | --- |
| 5.865 | 15.1 | 100 |
| 4.147 | 21.4 | 83 |
| 2.623 | 34.2 | 45 |
| 2.394 | 37.6 | 38 |
| 3.386 | 26.3 | 34 |
| 1.955 | 46.5 | 28 |
| 1.567 | 58.9 | 22 |
| 1.855 | 49.1 | 17 |

---

No. 4
Structure and computed XRD peak list of DyTh3As4 (the PBE geometry in Alexandria; Cu Kα, 1.54184 Å).
No peak broadening, texture or thermal motion is included.

Crystal structure
```
DyTh3As4
1.0
5.9764 0.0000 0.0000
0.0000 5.9764 0.0000
0.0000 0.0000 5.9764
Dy Th As
1 3 4
direct
0.0000 0.0000 0.0000
0.0000 0.5000 0.5000
0.5000 0.0000 0.5000
0.5000 0.5000 0.0000
0.0000 0.0000 0.5000
0.0000 0.5000 0.0000
0.5000 0.0000 0.0000
0.5000 0.5000 0.5000
```

Most intense lines, 2θ from 10° to 90°, most intense first:
| d_spacing | 2theta | I_rel |
| --- | --- | --- |
| 2.988 | 29.9 | 100 |
| 2.113 | 42.8 | 76 |
| 3.451 | 25.8 | 39 |
| 1.336 | 70.5 | 35 |
| 1.725 | 53.1 | 27 |
| 1.220 | 78.4 | 26 |
| 1.802 | 50.7 | 20 |
| 1.494 | 62.1 | 13 |

---

No. 5
Structure and computed XRD peak list of Tb8Sm6In (the PBE geometry in Alexandria; Cu Kα, 1.54184 Å).
No peak broadening, texture or thermal motion is included.

Crystal structure
```
Tb8Sm6In
1.0
9.3871 0.0000 0.0000
-4.6935 8.1295 0.0000
0.0000 0.0000 6.4429
Tb Sm In
8 6 1
direct
0.0384 0.2655 0.1845
0.2270 0.9616 0.1845
0.2655 0.2270 0.8155
0.3333 0.6667 0.1571
0.6667 0.3333 0.8429
0.7345 0.7730 0.1845
0.7730 0.0384 0.8155
0.9616 0.7345 0.8155
0.0914 0.4487 0.6771
0.3573 0.9086 0.6771
0.4487 0.3573 0.3229
0.5513 0.6427 0.6771
0.6427 0.0914 0.3229
0.9086 0.5513 0.3229
0.0000 0.0000 0.5000
```

Most intense lines, 2θ from 10° to 90°, most intense first:
| d_spacing | 2theta | I_rel |
| --- | --- | --- |
| 2.773 | 32.3 | 100 |
| 2.656 | 33.7 | 25 |
| 3.073 | 29.1 | 23 |
| 1.774 | 51.5 | 18 |
| 3.438 | 25.9 | 15 |
| 2.995 | 29.8 | 14 |
| 1.554 | 59.5 | 13 |
| 3.221 | 27.7 | 13 |

---

No. 6
Structure and computed XRD peak list of Er2Pd5 (the PBE geometry in Alexandria; Cu Kα, 1.54184 Å).
No peak broadening, texture or thermal motion is included.

Crystal structure
```
Er2Pd5
1.0
3.4616 -6.3357 0.0000
3.4616 6.3357 0.0000
0.0000 0.0000 5.8679
Er Pd
4 10
direct
0.0918 0.2982 0.0000
0.2982 0.0918 0.5000
0.7018 0.9082 0.5000
0.9082 0.7018 0.0000
0.1031 0.3499 0.5000
0.2671 0.7329 0.2500
0.2671 0.7329 0.7500
0.3499 0.1031 0.0000
0.5000 0.5000 0.2500
0.5000 0.5000 0.7500
0.6501 0.8969 0.0000
0.7329 0.2671 0.2500
0.7329 0.2671 0.7500
0.8969 0.6501 0.5000
```

Most intense lines, 2θ from 10° to 90°, most intense first:
| d_spacing | 2theta | I_rel |
| --- | --- | --- |
| 2.238 | 40.3 | 100 |
| 2.337 | 38.5 | 98 |
| 2.153 | 42.0 | 93 |
| 2.642 | 33.9 | 31 |
| 2.270 | 39.7 | 31 |
| 1.475 | 63.0 | 28 |
| 1.242 | 76.7 | 25 |
| 2.380 | 37.8 | 24 |